Calculated powder diffraction line list
Compound: WCl4O
Radiation: Cu Kα X-rays
Structure: the GGA+U geometry in Alexandria

Lattice parameters (Å, degrees): 9.528 9.528 3.884 90.00 90.00 90.00
Space group I4 (No. 79)
Unique sites:
W 0.000 0.000 0.000 x2
Cl 0.057 0.763 0.956 x8
O 0.000 0.000 0.469 x2

Main lines, by intensity (10° ≤ 2θ ≤ 80°):
- 6.738 Å, 2θ 13.14, rel. 100, (1 1 0)
- 3.597 Å, 2θ 24.75, rel. 59, (1 0 1)
- 4.764 Å, 2θ 18.62, rel. 33, (2 0 0)
- 3.013 Å, 2θ 29.65, rel. 28, (3 1 0)
- 1.986 Å, 2θ 45.68, rel. 23, (4 1 1)
- 1.868 Å, 2θ 48.76, rel. 15, (5 1 0)
- 2.871 Å, 2θ 31.16, rel. 15, (2 1 1)
- 1.633 Å, 2θ 56.34, rel. 15, (3 5 0)
- 2.131 Å, 2θ 42.43, rel. 14, (4 2 0)
- 1.711 Å, 2θ 53.57, rel. 14, (3 4 1)